No. 1
Theoretical powder XRD pattern
Compound: Mg14SbMo
Radiation: Cu Ka
Structure: DFT lattice parameters and positions (GGA-PBE)
No peak broadening, texture or thermal motion is included.

Top 10 peaks for 2θ = 15–90°, most intense first:
37.47°, rel. 100; 37.31°, rel. 52; 35.12°, rel. 39; 18.41°, rel. 34; 32.95°, rel. 30; 16.22°, rel. 24; 48.92°, rel. 19; 70.20°, rel. 19; 17.35°, rel. 19; 64.56°, rel. 19

Crystal structure
Unit cell a=10.220 b=6.300 c=6.300 alpha=59.66 beta=90.00 gamma=90.00
Positions (direct):
1 Mg 0.000 0.000 0.000
2 Mg 0.000 0.001 0.499
3 Mg 0.000 0.499 0.001
4 Mg 0.000 0.499 0.499
5 Mg 0.247 0.667 0.667
6 Mg 0.255 0.161 0.675
7 Mg 0.255 0.675 0.161
8 Mg 0.256 0.162 0.162
9 Mg 0.500 0.000 0.498
10 Mg 0.500 0.498 0.000
11 Mg 0.744 0.162 0.162
12 Mg 0.745 0.161 0.675
13 Mg 0.745 0.675 0.161
14 Mg 0.753 0.667 0.667
15 Sb 0.500 0.504 0.504
16 Mo 0.500 0.999 0.999

***

No. 2
Theoretical powder XRD pattern
Compound: Mg14SbMo
Radiation: Cu Ka
Structure: DFT lattice parameters and positions (GGA-PBE)
No peak broadening, texture or thermal motion is included.

Top 10 peaks for 2θ = 15–90°, most intense first:
37.50°, rel. 100; 16.29°, rel. 46; 23.96°, rel. 33; 32.93°, rel. 29; 35.32°, rel. 25; 70.49°, rel. 18; 49.06°, rel. 18; 64.83°, rel. 18; 58.80°, rel. 17; 33.54°, rel. 15

Crystal structure
Unit cell a=6.282 b=6.282 c=10.165 alpha=90.00 beta=90.00 gamma=120.00
Positions (direct):
1 Mg 0.000 0.000 0.248
2 Mg 0.000 0.000 0.752
3 Mg 0.010 0.505 0.239
4 Mg 0.010 0.505 0.761
5 Mg 0.332 0.166 0.000
6 Mg 0.333 0.167 0.500
7 Mg 0.495 0.505 0.239
8 Mg 0.495 0.505 0.761
9 Mg 0.495 0.990 0.239
10 Mg 0.495 0.990 0.761
11 Mg 0.833 0.167 0.500
12 Mg 0.833 0.667 0.500
13 Mg 0.834 0.166 0.000
14 Mg 0.834 0.668 0.000
15 Sb 0.333 0.667 0.500
16 Mo 0.333 0.667 0.000

***

No. 3
Theoretical powder XRD pattern
Compound: Mg6SbMo
Radiation: Cu Ka
Structure: DFT lattice parameters and positions (GGA-PBE)
No peak broadening, texture or thermal motion is included.

Top 10 peaks for 2θ = 15–90°, most intense first:
38.10°, rel. 100; 16.54°, rel. 90; 38.63°, rel. 54; 35.90°, rel. 41; 34.37°, rel. 37; 24.54°, rel. 31; 33.44°, rel. 29; 65.96°, rel. 21; 24.34°, rel. 21; 39.76°, rel. 20

Crystal structure
Unit cell a=5.003 b=6.225 c=10.535 alpha=90.00 beta=90.00 gamma=90.00
Positions (direct):
1 Mg 0.000 0.000 0.000
2 Mg 0.000 0.240 0.748
3 Mg 0.000 0.260 0.248
4 Mg 0.000 0.500 0.500
5 Mg 0.000 0.740 0.248
6 Mg 0.000 0.760 0.748
7 Mg 0.500 0.000 0.168
8 Mg 0.500 0.244 0.915
9 Mg 0.500 0.256 0.415
10 Mg 0.500 0.500 0.668
11 Mg 0.500 0.744 0.415
12 Mg 0.500 0.756 0.915
13 Sb 0.000 0.000 0.509
14 Sb 0.000 0.500 0.009
15 Mo 0.500 0.000 0.666
16 Mo 0.500 0.500 0.166

***

No. 4
Theoretical powder XRD pattern
Compound: MgMo3Se4
Radiation: Cu Ka
Structure: DFT lattice parameters and positions (GGA-PBE)
No peak broadening, texture or thermal motion is included.

Top 10 peaks for 2θ = 15–90°, most intense first:
43.04°, rel. 100; 41.67°, rel. 93; 47.10°, rel. 91; 46.77°, rel. 88; 43.77°, rel. 87; 38.22°, rel. 76; 36.93°, rel. 73; 29.82°, rel. 65; 30.82°, rel. 63; 48.39°, rel. 60

Crystal structure
Unit cell a=9.307 b=9.493 c=9.692 alpha=66.54 beta=64.89 gamma=65.37
Positions (direct):
1 Mg 0.132 0.222 0.321
2 Mg 0.280 0.724 0.236
3 Mg 0.720 0.276 0.764
4 Mg 0.868 0.778 0.679
5 Mo 0.052 0.187 0.860
6 Mo 0.140 0.440 0.817
7 Mo 0.184 0.354 0.564
8 Mo 0.313 0.143 0.938
9 Mo 0.361 0.057 0.682
10 Mo 0.445 0.311 0.640
11 Mo 0.555 0.689 0.360
12 Mo 0.639 0.943 0.318
13 Mo 0.687 0.857 0.062
14 Mo 0.816 0.646 0.436
15 Mo 0.860 0.560 0.183
16 Mo 0.948 0.813 0.140
17 Se 0.005 0.273 0.103
18 Se 0.097 0.095 0.621
19 Se 0.121 0.518 0.266
20 Se 0.235 0.895 0.965
21 Se 0.263 0.606 0.534
22 Se 0.383 0.980 0.234
23 Se 0.394 0.391 0.894
24 Se 0.483 0.231 0.398
25 Se 0.517 0.769 0.602
26 Se 0.606 0.609 0.106
27 Se 0.617 0.020 0.766
28 Se 0.737 0.394 0.466
29 Se 0.765 0.105 0.035
30 Se 0.879 0.482 0.734
31 Se 0.903 0.905 0.379
32 Se 0.995 0.727 0.897

***

No. 5
Theoretical powder XRD pattern
Compound: Mg3Mo12Se16
Radiation: Cu Ka
Structure: DFT lattice parameters and positions (GGA-PBE)
No peak broadening, texture or thermal motion is included.

Top 10 peaks for 2θ = 15–90°, most intense first:
43.51°, rel. 100; 43.04°, rel. 98; 42.66°, rel. 78; 47.30°, rel. 75; 47.71°, rel. 62; 37.56°, rel. 61; 38.03°, rel. 61; 42.09°, rel. 57; 48.36°, rel. 54; 37.24°, rel. 51

Crystal structure
Unit cell a=6.950 b=6.992 c=13.868 alpha=94.30 beta=95.25 gamma=93.12
Positions (direct):
1 Mg 0.000 0.000 0.000
2 Mg 0.096 0.912 0.641
3 Mg 0.454 0.930 0.330
4 Mo 0.285 0.376 0.089
5 Mo 0.294 0.371 0.593
6 Mo 0.460 0.502 0.938
7 Mo 0.465 0.500 0.441
8 Mo 0.499 0.713 0.112
9 Mo 0.503 0.715 0.614
10 Mo 0.595 0.196 0.528
11 Mo 0.595 0.201 0.026
12 Mo 0.631 0.413 0.199
13 Mo 0.636 0.410 0.702
14 Mo 0.805 0.544 0.049
15 Mo 0.806 0.533 0.549
16 Se 0.168 0.669 0.501
17 Se 0.169 0.674 0.002
18 Se 0.255 0.181 0.423
19 Se 0.271 0.173 0.918
20 Se 0.322 0.578 0.256
21 Se 0.326 0.586 0.753
22 Se 0.418 0.087 0.171
23 Se 0.440 0.083 0.683
24 Se 0.657 0.830 0.957
25 Se 0.685 0.829 0.468
26 Se 0.762 0.324 0.384
27 Se 0.773 0.332 0.887
28 Se 0.824 0.739 0.722
29 Se 0.829 0.737 0.216
30 Se 0.926 0.237 0.637
31 Se 0.928 0.245 0.140

***

No. 6
Theoretical powder XRD pattern
Compound: Mg6SiMo
Radiation: Cu Ka
Structure: DFT lattice parameters and positions (GGA-PBE)
No peak broadening, texture or thermal motion is included.

Top 10 peaks for 2θ = 15–90°, most intense first:
38.94°, rel. 100; 39.19°, rel. 58; 16.77°, rel. 50; 37.64°, rel. 39; 33.91°, rel. 37; 25.15°, rel. 36; 16.91°, rel. 26; 51.56°, rel. 22; 68.80°, rel. 17; 73.99°, rel. 17

Crystal structure
Unit cell a=4.779 b=6.121 c=10.487 alpha=90.00 beta=90.00 gamma=90.00
Positions (direct):
1 Mg 0.000 0.000 0.000
2 Mg 0.000 0.240 0.254
3 Mg 0.000 0.260 0.754
4 Mg 0.000 0.500 0.500
5 Mg 0.000 0.740 0.754
6 Mg 0.000 0.760 0.254
7 Mg 0.500 0.000 0.833
8 Mg 0.500 0.246 0.584
9 Mg 0.500 0.254 0.084
10 Mg 0.500 0.500 0.333
11 Mg 0.500 0.746 0.084
12 Mg 0.500 0.754 0.584
13 Si 0.000 0.000 0.477
14 Si 0.000 0.500 0.977
15 Mo 0.500 0.000 0.345
16 Mo 0.500 0.500 0.845

***

No. 7
Theoretical powder XRD pattern
Compound: Mg6SiMo
Radiation: Cu Ka
Structure: DFT lattice parameters and positions (GGA-PBE)
No peak broadening, texture or thermal motion is included.

Top 10 peaks for 2θ = 15–90°, most intense first:
40.16°, rel. 100; 35.75°, rel. 79; 38.05°, rel. 67; 17.66°, rel. 53; 16.54°, rel. 26; 25.08°, rel. 26; 73.03°, rel. 25; 51.46°, rel. 23; 65.76°, rel. 23; 67.19°, rel. 21

Crystal structure
Unit cell a=5.025 b=5.680 c=10.721 alpha=90.00 beta=90.00 gamma=90.00
Positions (direct):
1 Mg 0.000 0.000 0.000
2 Mg 0.000 0.000 0.499
3 Mg 0.000 0.243 0.258
4 Mg 0.000 0.257 0.758
5 Mg 0.000 0.500 0.500
6 Mg 0.000 0.500 0.999
7 Mg 0.000 0.743 0.758
8 Mg 0.000 0.757 0.258
9 Mg 0.500 0.249 0.598
10 Mg 0.500 0.251 0.098
11 Mg 0.500 0.749 0.098
12 Mg 0.500 0.751 0.598
13 Si 0.500 0.000 0.846
14 Si 0.500 0.500 0.346
15 Mo 0.500 0.000 0.350
16 Mo 0.500 0.500 0.850

***

No. 8
Theoretical powder XRD pattern
Compound: Mg6SnMo
Radiation: Cu Ka
Structure: DFT lattice parameters and positions (GGA-PBE)
No peak broadening, texture or thermal motion is included.

Top 10 peaks for 2θ = 15–90°, most intense first:
37.96°, rel. 100; 16.42°, rel. 87; 38.36°, rel. 53; 36.25°, rel. 39; 34.20°, rel. 37; 24.53°, rel. 31; 33.19°, rel. 28; 40.05°, rel. 23; 24.38°, rel. 20; 72.05°, rel. 20

Crystal structure
Unit cell a=4.956 b=6.262 c=10.654 alpha=90.00 beta=90.00 gamma=90.00
Positions (direct):
1 Mg 0.000 0.000 0.000
2 Mg 0.000 0.239 0.252
3 Mg 0.000 0.261 0.752
4 Mg 0.000 0.500 0.500
5 Mg 0.000 0.739 0.752
6 Mg 0.000 0.761 0.252
7 Mg 0.500 0.000 0.832
8 Mg 0.500 0.245 0.085
9 Mg 0.500 0.255 0.585
10 Mg 0.500 0.500 0.332
11 Mg 0.500 0.745 0.585
12 Mg 0.500 0.755 0.085
13 Sn 0.000 0.000 0.491
14 Sn 0.000 0.500 0.991
15 Mo 0.500 0.000 0.332
16 Mo 0.500 0.500 0.832

***

No. 9
Theoretical powder XRD pattern
Compound: Mg6SnMo
Radiation: Cu Ka
Structure: DFT lattice parameters and positions (GGA-PBE)
No peak broadening, texture or thermal motion is included.

Top 10 peaks for 2θ = 15–90°, most intense first:
38.69°, rel. 100; 37.58°, rel. 57; 16.33°, rel. 56; 17.46°, rel. 46; 24.00°, rel. 43; 35.35°, rel. 41; 34.25°, rel. 37; 50.04°, rel. 25; 65.68°, rel. 21; 71.37°, rel. 20

Crystal structure
Unit cell a=5.079 b=5.979 c=10.853 alpha=90.00 beta=90.00 gamma=90.00
Positions (direct):
1 Mg 0.000 0.000 0.000
2 Mg 0.000 0.000 0.489
3 Mg 0.000 0.236 0.250
4 Mg 0.000 0.264 0.750
5 Mg 0.000 0.500 0.500
6 Mg 0.000 0.500 0.989
7 Mg 0.000 0.736 0.750
8 Mg 0.000 0.764 0.250
9 Mg 0.500 0.248 0.583
10 Mg 0.500 0.252 0.083
11 Mg 0.500 0.748 0.083
12 Mg 0.500 0.752 0.583
13 Sn 0.500 0.000 0.833
14 Sn 0.500 0.500 0.333
15 Mo 0.500 0.000 0.333
16 Mo 0.500 0.500 0.833

***

No. 10
Theoretical powder XRD pattern
Compound: SrMg14Mo
Radiation: Cu Ka
Structure: DFT lattice parameters and positions (GGA-PBE)
No peak broadening, texture or thermal motion is included.

Top 10 peaks for 2θ = 15–90°, most intense first:
36.43°, rel. 100; 36.31°, rel. 50; 34.75°, rel. 37; 31.88°, rel. 28; 47.84°, rel. 26; 17.93°, rel. 24; 68.18°, rel. 18; 63.39°, rel. 18; 15.72°, rel. 17; 56.63°, rel. 17

Crystal structure
Unit cell a=10.327 b=6.501 c=6.501 alpha=59.73 beta=90.00 gamma=90.00
Positions (direct):
1 Sr 0.000 0.000 0.000
2 Mg 0.000 0.008 0.495
3 Mg 0.000 0.495 0.008
4 Mg 0.234 0.657 0.657
5 Mg 0.253 0.177 0.649
6 Mg 0.253 0.649 0.177
7 Mg 0.266 0.168 0.168
8 Mg 0.500 0.498 0.498
9 Mg 0.500 0.502 0.992
10 Mg 0.500 0.992 0.502
11 Mg 0.500 0.995 0.995
12 Mg 0.734 0.168 0.168
13 Mg 0.747 0.177 0.649
14 Mg 0.747 0.649 0.177
15 Mg 0.766 0.657 0.657
16 Mo 0.000 0.487 0.487

***

No. 11
Theoretical powder XRD pattern
Compound: SrMg14Mo
Radiation: Cu Ka
Structure: DFT lattice parameters and positions (GGA-PBE)
No peak broadening, texture or thermal motion is included.

Top 10 peaks for 2θ = 15–90°, most intense first:
36.40°, rel. 100; 15.72°, rel. 33; 31.75°, rel. 29; 23.50°, rel. 25; 35.12°, rel. 23; 68.34°, rel. 18; 56.56°, rel. 18; 48.06°, rel. 17; 63.85°, rel. 16; 69.15°, rel. 14

Crystal structure
Unit cell a=6.509 b=6.509 c=10.220 alpha=90.00 beta=90.00 gamma=120.00
Positions (direct):
1 Sr 0.000 0.000 0.000
2 Mg 0.012 0.506 0.000
3 Mg 0.165 0.330 0.270
4 Mg 0.165 0.330 0.730
5 Mg 0.165 0.835 0.270
6 Mg 0.165 0.835 0.730
7 Mg 0.494 0.506 0.000
8 Mg 0.494 0.988 0.000
9 Mg 0.503 0.005 0.500
10 Mg 0.503 0.497 0.500
11 Mg 0.667 0.333 0.242
12 Mg 0.667 0.333 0.758
13 Mg 0.670 0.835 0.270
14 Mg 0.670 0.835 0.730
15 Mg 0.995 0.497 0.500
16 Mo 0.000 0.000 0.500